The following is a simulated powder XRD pattern of Zn8PtAu3. It was derived from a crystal structure in Alexandria, relaxed with GGA-PBE, using CuKα.
Neutral-atom scattering factors, no anomalous dispersion.

Largest 10 diffraction maxima, low angle first, 2θ = 5–70°:
d/Å	2theta	intensity
3.655	24.35	55
3.340	26.69	75
2.253	40.02	30
2.153	41.96	100
1.976	45.93	20
1.891	48.12	23
1.868	48.75	30
1.738	52.66	14
1.486	62.52	16
1.366	68.70	16

Unit cell a=7.7052 b=7.3947 c=5.9936 alpha=69.37 beta=63.92 gamma=46.72
Element x y z (fractional)
Zn  0.1052  0.6202  0.8948
Zn  0.1363  0.6473  0.3527
Zn  0.3527  0.8637  0.1363
Zn  0.3798  0.8948  0.6202
Zn  0.6202  0.1052  0.3798
Zn  0.6473  0.1363  0.8637
Zn  0.8637  0.3527  0.6473
Zn  0.8948  0.3798  0.1052
Pt  0.0000  0.0000  0.0000
Au  0.2500  0.2500  0.2500
Au  0.5000  0.5000  0.5000
Au  0.7500  0.7500  0.7500

***

The following is a simulated powder XRD pattern of Zn6PtAu3. It was derived from a crystal structure in Alexandria, relaxed with GGA-PBE, using CuKα.
Neutral-atom scattering factors, no anomalous dispersion.

Largest 10 diffraction maxima, low angle first, 2θ = 5–70°:
d/Å	2theta	intensity
4.363	20.36	91
3.061	29.17	97
2.568	34.94	81
2.442	36.81	94
2.370	37.96	65
2.254	39.99	52
2.180	41.42	73
2.149	42.05	86
2.114	42.78	100
2.076	43.60	46

Unit cell a=7.0446 b=6.6348 c=8.7594 alpha=90.00 beta=124.82 gamma=90.00
Element x y z (fractional)
Zn  0.0314  0.1243  0.2283
Zn  0.0314  0.3757  0.7283
Zn  0.2681  0.7060  0.6760
Zn  0.2681  0.7940  0.1760
Zn  0.3695  0.0729  0.8300
Zn  0.3695  0.4271  0.3300
Zn  0.6305  0.5729  0.6700
Zn  0.6305  0.9271  0.1700
Zn  0.7319  0.2060  0.8240
Zn  0.7319  0.2940  0.3240
Zn  0.9686  0.6243  0.2717
Zn  0.9686  0.8757  0.7717
Pt  0.0000  0.0000  0.5000
Pt  0.0000  0.5000  0.0000
Au  0.2677  0.1560  0.0656
Au  0.2677  0.3440  0.5656
Au  0.5000  0.0000  0.5000
Au  0.5000  0.5000  0.0000
Au  0.7323  0.6560  0.4344
Au  0.7323  0.8440  0.9344

***

The following is a simulated powder XRD pattern of Zn2PtAu4. It was derived from a crystal structure in Alexandria, relaxed with GGA-PBE, using CuKα.
Neutral-atom scattering factors, no anomalous dispersion.

Largest 10 diffraction maxima, low angle first, 2θ = 5–70°:
d/Å	2theta	intensity
3.227	27.64	36
2.511	35.76	53
2.496	35.97	81
2.118	42.68	23
2.112	42.82	100
1.618	56.91	16
1.613	57.12	20
1.554	59.48	9
1.551	59.60	8
1.548	59.74	10

Unit cell a=6.8496 b=6.8496 c=6.8496 alpha=109.66 beta=109.66 gamma=109.10
Element x y z (fractional)
Zn  0.0065  0.1250  0.3815
Zn  0.3750  0.9935  0.1185
Zn  0.7435  0.6250  0.6185
Zn  0.8750  0.2565  0.8815
Pt  0.2500  0.7500  0.5000
Pt  0.5000  0.5000  0.0000
Au  0.1121  0.5307  0.7464
Au  0.1157  0.0344  0.7536
Au  0.2807  0.3621  0.2464
Au  0.4693  0.2156  0.5813
Au  0.6343  0.8879  0.4187
Au  0.6379  0.8843  0.9187
Au  0.7844  0.3657  0.2536
Au  0.9656  0.7193  0.0813

***

The following is a simulated powder XRD pattern of Pu3Au2. It was derived from a crystal structure in Alexandria, relaxed with GGA-PBE, using CuKα.
Neutral-atom scattering factors, no anomalous dispersion.

Largest 10 diffraction maxima, low angle first, 2θ = 5–70°:
d/Å	2theta	intensity
2.841	31.49	42
2.678	33.46	100
2.541	35.32	48
2.009	45.14	20
1.949	46.60	12
1.753	52.16	11
1.713	53.49	8
1.576	58.58	25
1.467	63.40	12
1.399	66.89	18

Unit cell a=8.0358 b=8.0358 c=4.0172 alpha=90.00 beta=90.00 gamma=90.00
Element x y z (fractional)
Pu  0.0000  0.0000  0.0000
Pu  0.1696  0.3304  0.5000
Pu  0.3304  0.8304  0.5000
Pu  0.5000  0.5000  0.0000
Pu  0.6696  0.1696  0.5000
Pu  0.8304  0.6696  0.5000
Au  0.1280  0.6280  0.0000
Au  0.3720  0.1280  0.0000
Au  0.6280  0.8720  0.0000
Au  0.8720  0.3720  0.0000